# Cu2H3ClO3
Computed X-ray powder pattern, a wavelength of 1.5418 Å. Input: a crystal structure in Alexandria, relaxed with GGA-PBE.
Peak positions follow from Bragg's law for the DFT cell and can differ from measured ones.

Crystal structure
Cell lengths 6.0074, 6.9141, 9.3840 Å; angles 90.00, 90.00, 90.00 degrees
Atoms (fractional coordinates):
Cu 0.0000 0.0000 0.0000
Cu 0.0000 0.5000 0.0000
Cu 0.1752 0.2500 0.2545
Cu 0.3248 0.7500 0.7545
Cu 0.5000 0.0000 0.5000
Cu 0.5000 0.5000 0.5000
Cu 0.6752 0.2500 0.2455
Cu 0.8248 0.7500 0.7455
H 0.0889 0.0500 0.7346
H 0.0889 0.4500 0.7346
H 0.2020 0.7500 0.4567
H 0.2980 0.2500 0.9567
H 0.4111 0.5500 0.2346
H 0.4111 0.9500 0.2346
H 0.5889 0.0500 0.7654
H 0.5889 0.4500 0.7654
H 0.7020 0.7500 0.0433
H 0.7980 0.2500 0.5433
H 0.9111 0.5500 0.2654
H 0.9111 0.9500 0.2654
Cl 0.1334 0.2500 0.5779
Cl 0.3666 0.7500 0.0779
Cl 0.6334 0.2500 0.9221
Cl 0.8666 0.7500 0.4221
O 0.0769 0.5654 0.7984
O 0.0769 0.9346 0.7984
O 0.1495 0.2500 0.0031
O 0.3505 0.7500 0.5031
O 0.4231 0.0654 0.2984
O 0.4231 0.4346 0.2984
O 0.5769 0.5654 0.7016
O 0.5769 0.9346 0.7016
O 0.6495 0.2500 0.4969
O 0.8505 0.7500 0.9969
O 0.9231 0.0654 0.2016
O 0.9231 0.4346 0.2016

Main lines, by angle (5 to 70 degrees two-theta):
- 2θ 15.92, intensity 100
- 2θ 17.53, intensity 85
- 2θ 31.34, intensity 75
- 2θ 31.39, intensity 61
- 2θ 32.16, intensity 28
- 2θ 32.50, intensity 41
- 2θ 35.49, intensity 29
- 2θ 38.37, intensity 33
- 2θ 39.75, intensity 44
- 2θ 49.66, intensity 25